For CdGa2, DFT lattice parameters and positions (PBE) gives the calculated powder X-ray diffraction pattern in this record (CuKα).
Intensities are scaled so that the largest is 100.

The 8 most intense peaks (2θ = 10–90°), low angle first:
| d_spacing | Rel. int. |
| --- | --- |
| 3.747 | 48 |
| 2.294 | 100 |
| 1.957 | 23 |
| 1.622 | 16 |
| 1.489 | 9 |
| 1.325 | 32 |
| 1.147 | 10 |
| 1.097 | 7 |

Lattice parameters (Å, degrees): 4.5890 4.5890 4.5890 60.00 60.00 60.00
Positions (direct):
1 Cd 0.0000 0.0000 0.0000
2 Ga 0.2500 0.2500 0.2500
3 Ga 0.7500 0.7500 0.7500